Starting from a structure optimized by DFT (GGA+U), the X-ray powder pattern of MgCo3O4 was simulated for λ = 1.5418 Å (Cu Kα).
Intensities are scaled so that the largest is 100.

Lattice parameters (Å, degrees): 5.020 5.020 5.020 90.00 90.00 90.00
Space group P-43m (No. 215)
Asymmetric unit:
Mg 0.000 0.000 0.000 [1 per cell]
Co 0.000 0.000 0.500 [3 per cell]
O 0.218 0.218 0.218 [4 per cell]

Peak list (10 most intense, 2θ from 15° to 90°, sorted by position)
- (1 0 0), 17.67°, I 100
- (1 1 1), 30.85°, I 93
- (2 0 0), 35.77°, I 35
- (2 1 0), 40.16°, I 26
- (2 2 0), 51.49°, I 70
- (2 2 1), 54.86°, I 17
- (3 1 1), 61.23°, I 32
- (3 2 0), 67.24°, I 12
- (3 3 1), 84.03°, I 11
- (4 2 0), 86.74°, I 13